Record 1
Diffraction record for Ba4TbMo3O12. The X-ray powder pattern is simulated, not measured: it uses the GGA+U geometry in Alexandria and Cu Ka.
Lines closer than 0.1° are merged.

The 10 most intense peaks (10° ≤ 2θ ≤ 90°), most intense first:
(hkl)  2theta  intensity
2 2 0  30.02  100
4 2 2  53.31  40
4 0 0  42.97  30
6 4 2  86.51  21
4 4 0  62.40  19
6 2 0  70.78  18
4 4 4  78.75  6
2 2 2  36.99  3
1 1 0  14.88  2
3 2 1  40.07  1

Crystal structure
Unit cell a=8.419 b=8.419 c=8.419 alpha=90.00 beta=90.00 gamma=90.00
Space group Im-3m (No. 229)
One atom of each set of equivalent atoms:
Ba 0.250 0.250 0.250
Tb 0.000 0.000 0.000
Mo 0.000 0.000 0.500
O 0.000 0.000 0.265
O 0.000 0.250 0.500

---

Record 2
Diffraction record for Ba3TiMoO8. The X-ray powder pattern is simulated, not measured: it uses the GGA+U geometry in Alexandria and Cu Ka.
Lines closer than 0.1° are merged.

The 10 most intense peaks (10° ≤ 2θ ≤ 90°), most intense first:
(hkl)  2theta  intensity
0 1 5  26.73  100
1 1 0  29.54  97
2 0 5  40.26  44
1 2 5  50.71  34
1 0 10  45.38  27
3 0 0  52.41  19
2 1 10  63.74  18
2 2 0  61.31  17
3 1 5  68.09  14
0 2 10  55.08  14

Crystal structure
Unit cell a=6.0481 b=6.0481 c=21.6228 alpha=90.00 beta=90.00 gamma=120.00
Space group R3m (No. 160, hexagonal axes)
One atom of each set of equivalent atoms:
Ba 0.0000 0.0000 0.0000
Ba 0.0000 0.0000 0.1871
Ba 0.0000 0.0000 0.7830
Ti 0.0000 0.0000 0.3944
Mo 0.0000 0.0000 0.5808
O 0.0000 0.0000 0.3102
O 0.0000 0.0000 0.6632
O 0.0071 0.5036 0.2209
O 0.1690 0.3381 0.0913